[1]
Diffraction record for NpSi4Ir2. The powder diffraction line list is calculated, not measured: it uses DFT lattice parameters and positions (PBE) and Cu Kα (λ = 1.5418 Å).

Structure:
```
data_NpSi4Ir2
_cell_length_a 16.588
_cell_length_b 4.156
_cell_length_c 6.452
_cell_angle_alpha 90.00
_cell_angle_beta 90.00
_cell_angle_gamma 90.00
_symmetry_space_group_name_H-M 'P n m a'
_symmetry_Int_Tables_number 62
_symmetry_space_group_name_Hall '-P 2ac 2n'
loop_
_atom_site_label
_atom_site_type_symbol
_atom_site_fract_x
_atom_site_fract_y
_atom_site_fract_z
Np1 Np 0.141 0.250 0.002
Si1 Si 0.033 0.750 0.136
Si2 Si 0.065 0.250 0.535
Si3 Si 0.183 0.750 0.692
Si4 Si 0.194 0.750 0.280
Ir1 Ir 0.033 0.750 0.747
Ir2 Ir 0.211 0.250 0.485
```

Principal peaks in the range 2θ = 5–70°, in order of rising 2θ:
Position (°2θ)  intensity  (hkl)
23.95  33  2 1 0
25.51  35  0 1 1
27.69  31  0 0 2
29.71  50  2 0 2
30.27  58  5 0 1
30.45  44  4 1 0
36.90  100  2 1 2
37.38  53  5 1 1
40.56  40  7 0 1
43.55  44  0 2 0

[2]
Diffraction record for NpSi2Ir. The powder diffraction line list is calculated, not measured: it uses DFT lattice parameters and positions (PBE) and Cu Kα (λ = 1.5418 Å).

Structure:
```
data_NpSi2Ir
_cell_length_a 4.249
_cell_length_b 8.554
_cell_length_c 15.667
_cell_angle_alpha 90.00
_cell_angle_beta 90.00
_cell_angle_gamma 90.00
_symmetry_space_group_name_H-M 'I m m m'
_symmetry_Int_Tables_number 71
_symmetry_space_group_name_Hall '-I 2 2'
loop_
_atom_site_label
_atom_site_type_symbol
_atom_site_fract_x
_atom_site_fract_y
_atom_site_fract_z
Np1 Np 0.000 0.000 0.205
Np2 Np 0.000 0.235 0.000
Si1 Si 0.000 0.000 0.425
Si2 Si 0.000 0.348 0.199
Si3 Si 0.000 0.500 0.425
Ir1 Ir 0.000 0.247 0.353
```

Principal peaks in the range 2θ = 5–70°, in order of rising 2θ:
Position (°2θ)  intensity  (hkl)
20.77  16  0 2 0
23.38  11  1 1 0
23.70  15  0 2 2
27.06  19  1 0 3
34.35  100  1 2 3
35.60  26  1 0 5
40.48  15  0 2 6
42.26  16  0 4 0
42.56  21  2 0 0
61.52  15  2 4 0

[3]
Diffraction record for Sm3NpIr8. The powder diffraction line list is calculated, not measured: it uses DFT lattice parameters and positions (PBE) and Cu Kα (λ = 1.5418 Å).

Structure:
```
data_Sm3NpIr8
_cell_length_a 5.3958
_cell_length_b 5.3958
_cell_length_c 26.3955
_cell_angle_alpha 90.00
_cell_angle_beta 90.00
_cell_angle_gamma 120.00
_symmetry_space_group_name_H-M 'R 3 m'
_symmetry_Int_Tables_number 160
_symmetry_space_group_name_Hall 'R 3 -2"'
loop_
_atom_site_label
_atom_site_type_symbol
_atom_site_fract_x
_atom_site_fract_y
_atom_site_fract_z
Sm1 Sm 0.0000 0.0000 0.0000
Sm2 Sm 0.0000 0.0000 0.1252
Sm3 Sm 0.0000 0.0000 0.6256
Np1 Np 0.0000 0.0000 0.5010
Ir1 Ir 0.0000 0.0000 0.3130
Ir2 Ir 0.0000 0.0000 0.8130
Ir3 Ir 0.0025 0.5012 0.0640
Ir4 Ir 0.1678 0.3357 0.8951
```

Principal peaks in the range 2θ = 5–70°, in order of rising 2θ:
Position (°2θ)  intensity  (hkl)
10.05  1  0 0 3
20.17  9  0 0 6
33.22  23  1 1 0
39.17  100  1 0 10
40.99  44  0 2 4
47.70  6  2 0 8
52.28  2  0 1 14
59.36  9  1 2 8
63.36  33  2 1 10
69.75  29  2 2 0

[4]
Diffraction record for Np2Zn2Ir3. The powder diffraction line list is calculated, not measured: it uses DFT lattice parameters and positions (PBE) and Cu Kα (λ = 1.5418 Å).

Structure:
```
data_Np2Zn2Ir3
_cell_length_a 4.320
_cell_length_b 4.640
_cell_length_c 13.044
_cell_angle_alpha 90.00
_cell_angle_beta 90.00
_cell_angle_gamma 90.00
_symmetry_space_group_name_H-M 'I m m m'
_symmetry_Int_Tables_number 71
_symmetry_space_group_name_Hall '-I 2 2'
loop_
_atom_site_label
_atom_site_type_symbol
_atom_site_fract_x
_atom_site_fract_y
_atom_site_fract_z
Np1 Np 0.000 0.000 0.118
Zn1 Zn 0.000 0.000 0.381
Ir1 Ir 0.000 0.500 0.000
Ir2 Ir 0.000 0.500 0.248
```

Principal peaks in the range 2θ = 5–70°, in order of rising 2θ:
Position (°2θ)  intensity  (hkl)
21.67  29  1 0 1
28.12  11  0 1 3
31.44  7  1 1 2
38.81  25  0 2 0
39.70  100  1 1 4
41.82  20  2 0 0
44.89  9  1 2 1
56.43  8  0 0 8
58.37  15  2 2 0
58.98  5  2 1 5

[5]
Diffraction record for IrO4. The powder diffraction line list is calculated, not measured: it uses DFT lattice parameters and positions (PBE) and Cu Kα (λ = 1.5418 Å).

Structure:
```
data_IrO4
_cell_length_a 4.343
_cell_length_b 5.554
_cell_length_c 6.038
_cell_angle_alpha 116.07
_cell_angle_beta 90.12
_cell_angle_gamma 90.00
_symmetry_space_group_name_H-M 'P -1'
_symmetry_Int_Tables_number 2
_symmetry_space_group_name_Hall '-P 1'
loop_
_atom_site_label
_atom_site_type_symbol
_atom_site_fract_x
_atom_site_fract_y
_atom_site_fract_z
Ir1 Ir 0.000 0.000 0.000
Ir2 Ir 0.500 0.500 0.000
O1 O 0.244 0.874 0.737
O2 O 0.250 0.826 0.160
O3 O 0.251 0.326 0.160
O4 O 0.255 0.374 0.737
```

Principal peaks in the range 2θ = 5–70°, in order of rising 2θ:
Position (°2θ)  intensity  (hkl)
16.34  100  0 0 1
27.22  51  1 1 0
27.45  50  1 1 -1
32.24  16  0 2 -1
35.88  24  1 1 1
36.01  10  0 2 0
36.41  23  1 1 -2
44.97  11  2 0 1
49.43  10  1 1 2
50.11  10  1 1 -3

[6]
Diffraction record for IrOsO4. The powder diffraction line list is calculated, not measured: it uses DFT lattice parameters and positions (PBE) and Cu Kα (λ = 1.5418 Å).

Structure:
```
data_IrOsO4
_cell_length_a 6.420
_cell_length_b 6.420
_cell_length_c 6.395
_cell_angle_alpha 90.00
_cell_angle_beta 90.00
_cell_angle_gamma 90.00
_symmetry_space_group_name_H-M 'I 41 m d'
_symmetry_Int_Tables_number 109
_symmetry_space_group_name_Hall 'I 4bw -2'
loop_
_atom_site_label
_atom_site_type_symbol
_atom_site_fract_x
_atom_site_fract_y
_atom_site_fract_z
Ir1 Ir 0.000 0.000 0.000
Os1 Os 0.000 0.000 0.501
O1 O 0.000 0.306 0.503
O2 O 0.000 0.310 0.997
```

Principal peaks in the range 2θ = 5–70°, in order of rising 2θ:
Position (°2θ)  intensity  (hkl)
27.79  100  2 0 0
34.30  97  1 1 2
39.72  30  2 2 0
44.64  1  3 1 0
53.46  69  3 1 2
57.42  15  4 0 0
57.66  8  0 0 4
64.97  16  4 2 0
65.19  18  2 0 4
68.62  19  3 3 2

[7]
Diffraction record for PaIr2O8. The powder diffraction line list is calculated, not measured: it uses DFT lattice parameters and positions (PBE) and Cu Kα (λ = 1.5418 Å).

Structure:
```
data_PaIr2O8
_cell_length_a 5.9039
_cell_length_b 5.9039
_cell_length_c 6.8017
_cell_angle_alpha 90.00
_cell_angle_beta 90.00
_cell_angle_gamma 120.00
_symmetry_space_group_name_H-M 'P -3 m 1'
_symmetry_Int_Tables_number 164
_symmetry_space_group_name_Hall '-P 3 2"'
loop_
_atom_site_label
_atom_site_type_symbol
_atom_site_fract_x
_atom_site_fract_y
_atom_site_fract_z
Pa1 Pa 0.0000 0.0000 0.0000
Ir1 Ir 0.3333 0.6667 0.3139
O1 O 0.1740 0.3479 0.1782
O2 O 0.3333 0.6667 0.5689
```

Principal peaks in the range 2θ = 5–70°, in order of rising 2θ:
Position (°2θ)  intensity  (hkl)
21.75  100  0 1 1
30.28  39  1 1 0
31.60  29  1 0 2
37.59  16  2 0 1
44.33  17  0 2 2
49.00  23  1 2 1
50.78  19  1 1 3
53.79  8  3 0 0
54.62  13  2 1 2
67.47  9  3 1 1

[8]
Diffraction record for Pa2IrO8. The powder diffraction line list is calculated, not measured: it uses DFT lattice parameters and positions (PBE) and Cu Kα (λ = 1.5418 Å).

Structure:
```
data_Pa2IrO8
_cell_length_a 4.462
_cell_length_b 5.498
_cell_length_c 6.954
_cell_angle_alpha 82.64
_cell_angle_beta 74.02
_cell_angle_gamma 78.78
_symmetry_space_group_name_H-M 'P -1'
_symmetry_Int_Tables_number 2
_symmetry_space_group_name_Hall '-P 1'
loop_
_atom_site_label
_atom_site_type_symbol
_atom_site_fract_x
_atom_site_fract_y
_atom_site_fract_z
Pa1 Pa 0.164 0.020 0.220
Ir1 Ir 0.000 0.500 0.500
O1 O 0.055 0.601 0.745
O2 O 0.214 0.147 0.513
O3 O 0.305 0.957 0.902
O4 O 0.343 0.649 0.321
```

Principal peaks in the range 2θ = 5–70°, in order of rising 2θ:
Position (°2θ)  intensity  (hkl)
16.49  47  0 1 0
21.00  73  1 0 0
21.80  100  1 0 1
22.05  41  0 1 -1
30.42  55  0 1 2
31.08  99  1 1 -1
32.72  30  0 1 -2
33.33  52  0 2 0
33.72  29  -1 1 1
41.38  49  2 0 1

[9]
Diffraction record for PaIr2PbO8. The powder diffraction line list is calculated, not measured: it uses DFT lattice parameters and positions (PBE) and Cu Kα (λ = 1.5418 Å).

Structure:
```
data_PaIr2PbO8
_cell_length_a 5.6899
_cell_length_b 5.6899
_cell_length_c 7.0818
_cell_angle_alpha 90.00
_cell_angle_beta 90.00
_cell_angle_gamma 120.00
_symmetry_space_group_name_H-M 'P -3 m 1'
_symmetry_Int_Tables_number 164
_symmetry_space_group_name_Hall '-P 3 2"'
loop_
_atom_site_label
_atom_site_type_symbol
_atom_site_fract_x
_atom_site_fract_y
_atom_site_fract_z
Pa1 Pa 0.0000 0.0000 0.0000
Ir1 Ir 0.3333 0.6667 0.3465
Pb1 Pb 0.0000 0.0000 0.5000
O1 O 0.1702 0.3404 0.1928
O2 O 0.3333 0.6667 0.5948
```

Principal peaks in the range 2θ = 5–70°, in order of rising 2θ:
Position (°2θ)  intensity  (hkl)
18.00  33  1 0 0
21.98  76  0 1 1
31.10  93  1 0 2
31.45  100  1 1 0
40.68  17  1 1 2
44.82  46  0 2 2
55.12  25  0 1 4
55.77  38  2 1 2
55.98  20  3 0 0
64.85  17  2 0 4

[10]
Diffraction record for SmPaIrO6. The powder diffraction line list is calculated, not measured: it uses DFT lattice parameters and positions (PBE) and Cu Kα (λ = 1.5418 Å).

Structure:
```
data_SmPaIrO6
_cell_length_a 5.047
_cell_length_b 5.047
_cell_length_c 10.168
_cell_angle_alpha 90.00
_cell_angle_beta 90.00
_cell_angle_gamma 90.00
_symmetry_space_group_name_H-M 'P 42 n m'
_symmetry_Int_Tables_number 102
_symmetry_space_group_name_Hall 'P 4n -2n'
loop_
_atom_site_label
_atom_site_type_symbol
_atom_site_fract_x
_atom_site_fract_y
_atom_site_fract_z
Sm1 Sm 0.000 0.000 0.000
Pa1 Pa 0.000 0.000 0.663
Ir1 Ir 0.000 0.000 0.328
O1 O 0.178 0.178 0.485
O2 O 0.195 0.195 0.182
O3 O 0.213 0.213 0.819
```

Principal peaks in the range 2θ = 5–70°, in order of rising 2θ:
Position (°2θ)  intensity  (hkl)
24.95  100  1 1 0
31.80  92  1 0 3
35.58  29  2 0 0
48.46  70  2 1 3
51.20  17  2 2 0
54.12  7  0 0 6
57.77  18  3 1 0
60.48  17  1 1 6
61.54  20  3 0 3
66.46  11  2 0 6

[11]
Diffraction record for PaZnIrO6. The powder diffraction line list is calculated, not measured: it uses DFT lattice parameters and positions (PBE) and Cu Kα (λ = 1.5418 Å).

Structure:
```
data_PaZnIrO6
_cell_length_a 4.869
_cell_length_b 4.869
_cell_length_c 9.712
_cell_angle_alpha 90.00
_cell_angle_beta 90.00
_cell_angle_gamma 90.00
_symmetry_space_group_name_H-M 'P 42 n m'
_symmetry_Int_Tables_number 102
_symmetry_space_group_name_Hall 'P 4n -2n'
loop_
_atom_site_label
_atom_site_type_symbol
_atom_site_fract_x
_atom_site_fract_y
_atom_site_fract_z
Pa1 Pa 0.000 0.000 0.000
Zn1 Zn 0.000 0.000 0.665
Ir1 Ir 0.000 0.000 0.331
O1 O 0.186 0.186 0.489
O2 O 0.196 0.196 0.176
O3 O 0.217 0.217 0.832
```

Principal peaks in the range 2θ = 5–70°, in order of rising 2θ:
Position (°2θ)  intensity  (hkl)
20.40  28  1 0 1
25.88  100  1 1 0
33.23  89  1 0 3
36.93  29  2 0 0
50.52  71  2 1 3
53.22  19  2 2 0
60.10  17  3 1 0
63.51  16  1 1 6
64.20  22  3 0 3
69.77  9  2 0 6

[12]
Diffraction record for IrPdPb2O6. The powder diffraction line list is calculated, not measured: it uses DFT lattice parameters and positions (PBE) and Cu Kα (λ = 1.5418 Å).

Structure:
```
data_IrPdPb2O6
_cell_length_a 5.664
_cell_length_b 5.664
_cell_length_c 4.464
_cell_angle_alpha 90.00
_cell_angle_beta 90.00
_cell_angle_gamma 90.00
_symmetry_space_group_name_H-M 'P 4 m m'
_symmetry_Int_Tables_number 99
_symmetry_space_group_name_Hall 'P 4 -2'
loop_
_atom_site_label
_atom_site_type_symbol
_atom_site_fract_x
_atom_site_fract_y
_atom_site_fract_z
Ir1 Ir 0.000 0.000 0.000
Pd1 Pd 0.500 0.500 0.027
Pb1 Pb 0.000 0.500 0.452
O1 O 0.000 0.000 0.590
O2 O 0.235 0.235 0.115
O3 O 0.500 0.500 0.554
```

Principal peaks in the range 2θ = 5–70°, in order of rising 2θ:
Position (°2θ)  intensity  (hkl)
29.97  100  1 1 1
31.59  45  2 0 0
40.41  11  0 0 2
45.28  23  2 2 0
46.58  6  1 1 2
52.18  23  2 0 2
55.26  37  3 1 1
62.29  13  2 2 2
65.97  7  4 0 0
67.10  9  1 1 3